Diffraction record for PaPd6Au4. The PXRD pattern is simulated, not measured: it uses a structure optimized by DFT (PBE) and Cu Ka.
Neutral-atom scattering factors, no anomalous dispersion.

Structure:
```
22
Lattice="2.4679 -4.3543 0.0000 2.4679 4.3543 0.0000 -0.7038 0.0000 18.4847" Properties=species:S:1:pos:R:3 pbc="T T T"
Pa 1.9400 3.1247 13.8635
Pa 2.2919 -3.1247 4.6212
Pd 1.3339 1.4518 6.8436
Pd 2.2919 2.7352 4.6212
Pd 0.8296 0.0005 2.4817
Pd 0.4778 -0.0005 11.7240
Pd 0.9821 -1.4518 16.0859
Pd 2.4679 0.0000 0.0000
Pd 2.1160 0.0000 9.2424
Pd 3.2499 1.4518 2.3988
Pd 3.7542 0.0005 6.7607
Pd 3.4023 -0.0005 16.0031
Pd 1.9400 -2.7352 13.8635
Pd 2.8980 -1.4518 11.6412
Au 2.1001 2.9243 9.2649
Au 0.9723 1.3747 16.1408
Au 1.7800 2.9243 18.4622
Au 1.3242 -1.3747 6.8984
Au 2.9078 1.3747 11.5863
Au 2.4520 -2.9243 0.0225
Au 3.2597 -1.3747 2.3439
Au 2.1319 -2.9243 9.2199
```

Largest 12 diffraction maxima, low angle first, 10° ≤ 2θ ≤ 90°:
37.05°, 2.427 Å, I = 21.8
37.41°, 2.404 Å, I = 100.0
38.98°, 2.311 Å, I = 93.1
40.68°, 2.218 Å, I = 94.4
40.81°, 2.211 Å, I = 51.2
41.37°, 2.182 Å, I = 67.0
42.18°, 2.142 Å, I = 59.3
46.30°, 1.961 Å, I = 39.0
65.22°, 1.431 Å, I = 39.4
71.27°, 1.323 Å, I = 22.2
77.27°, 1.235 Å, I = 25.0
77.70°, 1.229 Å, I = 22.6